No. 1
This entry pairs a crystal structure of TiPd4Au with its simulated powder XRD pattern. Radiation: Cu Kα. Structure: a DFT-relaxed cell (GGA-PBE, Alexandria).
Neutral-atom scattering factors, no anomalous dispersion.

Most intense lines, 2θ from 5° to 70°, by angle:
two_theta	Rel. int.
12.84	27.4
37.27	51.1
38.81	68.9
40.96	78.1
41.54	100.0
43.45	63.6
52.82	19.0
66.23	25.0

Structural model:
```
TiPd4Au
1.0
6.959 0.000 0.000
0.000 4.921 0.000
-0.752 0.000 5.555
Ti Pd Au
2 8 2
Direct
0.000 0.114 0.250
0.000 0.886 0.750
0.158 0.395 0.920
0.158 0.605 0.420
0.318 0.091 0.585
0.318 0.909 0.085
0.682 0.091 0.915
0.682 0.909 0.415
0.842 0.395 0.580
0.842 0.605 0.080
0.500 0.405 0.250
0.500 0.595 0.750
```



No. 2
This entry pairs a crystal structure of Tl3PtI6 with its simulated powder XRD pattern. Radiation: Cu Kα. Structure: a DFT-relaxed cell (GGA-PBE, Alexandria).
Neutral-atom scattering factors, no anomalous dispersion.

Most intense lines, 2θ from 5° to 70°, by angle:
two_theta	Rel. int.
20.77	81.0
22.20	68.7
25.59	30.5
28.63	41.0
29.68	100.0
31.45	39.6
36.21	48.0
38.79	36.4

Structural model:
```
Tl3PtI6
1.0
8.355 0.000 0.000
0.000 8.722 0.000
-7.317 0.000 11.376
Tl Pt I
6 2 12
Direct
0.000 0.000 0.000
0.000 0.500 0.500
0.193 0.055 0.720
0.193 0.445 0.220
0.807 0.555 0.780
0.807 0.945 0.280
0.500 0.000 0.500
0.500 0.500 0.000
0.193 0.197 0.474
0.193 0.303 0.974
0.257 0.743 0.917
0.257 0.757 0.417
0.401 0.074 0.281
0.401 0.426 0.781
0.599 0.574 0.219
0.599 0.926 0.719
0.743 0.243 0.583
0.743 0.257 0.083
0.807 0.697 0.026
0.807 0.803 0.526
```



No. 3
This entry pairs a crystal structure of KNa2TaSe4 with its simulated powder XRD pattern. Radiation: Cu Kα. Structure: a DFT-relaxed cell (GGA-PBE, Alexandria).
Neutral-atom scattering factors, no anomalous dispersion.

Most intense lines, 2θ from 5° to 70°, by angle:
two_theta	Rel. int.
12.30	100.0
14.45	15.4
26.15	14.8
29.14	31.2
30.64	67.4
38.99	20.6
42.79	39.2
54.03	14.7

Structural model:
```
KNa2TaSe4
1.0
-3.868 4.445 6.129
3.868 -4.445 6.129
3.868 4.445 -6.129
K Na Ta Se
2 4 2 8
Direct
0.000 0.000 0.000
0.500 0.000 0.500
0.000 0.500 0.500
0.500 0.000 0.000
0.500 0.500 0.000
0.500 0.500 0.500
0.000 0.000 0.500
0.000 0.500 0.000
0.207 0.748 0.459
0.208 0.228 0.520
0.208 0.688 0.980
0.211 0.252 0.959
0.789 0.748 0.041
0.792 0.312 0.020
0.792 0.772 0.480
0.793 0.252 0.541
```